No. 1
# AsPb3Au2
Theoretical XRD peak list, a wavelength of 1.5418 Å. Input: DFT lattice parameters and positions (PBE).
Neutral-atom scattering factors, no anomalous dispersion.

```
data_AsPb3Au2
_chemical_formula_sum 'As4 Pb12 Au8'
_cell_length_a 6.3121
_cell_length_b 9.5643
_cell_length_c 11.2451
_cell_angle_alpha 90.00
_cell_angle_beta 110.85
_cell_angle_gamma 90.00
_space_group_name_H-M_alt 'P 1 21/c 1'
_space_group_IT_number 14
loop_
_space_group_symop_operation_xyz
'x,y,z'
'-x,-y,-z'
'-x,y+1/2,-z+1/2'
'x,-y+1/2,z+1/2'
loop_
_atom_site_label
_atom_site_fract_x
_atom_site_fract_y
_atom_site_fract_z
As1 0.1851 0.1396 0.4477
Pb1 0.2805 0.0504 0.0439
Pb2 0.2932 0.1729 0.7412
Pb3 0.3044 0.6650 0.9638
Au1 0.0016 0.5553 0.2916
Au2 0.2146 0.7218 0.6875
```

Most intense lines, 2θ from 10° to 80°, in order of rising 2θ:
Position (°2θ)  I_rel
27.2  58
29.3  50
30.3  51
30.9  37
31.9  43
33.3  29
34.1  100
34.6  60
35.4  60
37.2  62
38.6  58
41.2  43

***

No. 2
# AsPbAu
Theoretical XRD peak list, a wavelength of 1.5418 Å. Input: DFT lattice parameters and positions (PBE).
Neutral-atom scattering factors, no anomalous dispersion.

```
data_AsPbAu
_chemical_formula_sum 'As4 Pb4 Au4'
_cell_length_a 3.2756
_cell_length_b 5.6299
_cell_length_c 15.8525
_cell_angle_alpha 90.00
_cell_angle_beta 90.00
_cell_angle_gamma 90.00
_space_group_name_H-M_alt 'I m m m'
_space_group_IT_number 71
_space_group_name_Hall '-I 2 2'
loop_
_atom_site_label
_atom_site_fract_x
_atom_site_fract_y
_atom_site_fract_z
As1 0.0000 0.0000 0.1430
Pb1 0.0000 0.0000 0.3470
Au1 0.0000 0.2523 0.0000
```

Most intense lines, 2θ from 10° to 80°, in order of rising 2θ:
Position (°2θ)  I_rel
11.2  63
31.6  77
32.2  100
33.8  68
33.9  74
39.1  58
39.3  99
42.7  63
47.0  33
59.5  50
67.2  40
70.7  36

***

No. 3
# AsPd2Au
Theoretical XRD peak list, a wavelength of 1.5418 Å. Input: DFT lattice parameters and positions (PBE).
Neutral-atom scattering factors, no anomalous dispersion.

```
data_AsPd2Au
_chemical_formula_sum 'As2 Pd4 Au2'
_cell_length_a 3.3371
_cell_length_b 7.4382
_cell_length_c 5.6015
_cell_angle_alpha 90.00
_cell_angle_beta 107.06
_cell_angle_gamma 90.00
_space_group_name_H-M_alt 'P 1 21/m 1'
_space_group_IT_number 11
loop_
_space_group_symop_operation_xyz
'x,y,z'
'-x,-y,-z'
'-x,y+1/2,-z'
'x,-y+1/2,z'
loop_
_atom_site_label
_atom_site_fract_x
_atom_site_fract_y
_atom_site_fract_z
As1 0.2457 0.2500 0.4944
Pd1 0.3640 0.5428 0.7282
Au1 0.0364 0.7500 0.0706
```

Most intense lines, 2θ from 10° to 80°, in order of rising 2θ:
Position (°2θ)  I_rel
29.2  15
35.6  17
36.8  28
37.0  28
37.2  100
38.8  24
39.0  23
40.1  23
41.6  53
49.0  16
52.7  13
55.0  19

***

No. 4
# As2Pd4Au
Theoretical XRD peak list, a wavelength of 1.5418 Å. Input: DFT lattice parameters and positions (PBE).
Neutral-atom scattering factors, no anomalous dispersion.

```
data_As2Pd4Au
_chemical_formula_sum 'As8 Pd16 Au4'
_cell_length_a 17.3215
_cell_length_b 4.0350
_cell_length_c 6.6853
_cell_angle_alpha 90.00
_cell_angle_beta 90.00
_cell_angle_gamma 90.00
_space_group_name_H-M_alt 'P n m a'
_space_group_IT_number 62
loop_
_space_group_symop_operation_xyz
'x,y,z'
'-x,-y,-z'
'-x+1/2,-y,z+1/2'
'x+1/2,y,-z+1/2'
'x+1/2,-y+1/2,-z+1/2'
'-x+1/2,y+1/2,z+1/2'
'-x,y+1/2,-z'
'x,-y+1/2,z'
loop_
_atom_site_label
_atom_site_fract_x
_atom_site_fract_y
_atom_site_fract_z
As1 0.0397 0.2500 0.2468
As2 0.2176 0.7500 0.3942
Pd1 0.0378 0.2500 0.8669
Pd2 0.0678 0.7500 0.4862
Pd3 0.1827 0.2500 0.1727
Pd4 0.1858 0.2500 0.6127
Au1 0.1470 0.7500 0.8898
```

Most intense lines, 2θ from 10° to 80°, in order of rising 2θ:
Position (°2θ)  I_rel
30.9  16
33.2  12
36.4  16
36.7  49
38.3  100
38.8  18
40.8  18
44.9  34
51.4  11
60.8  10
69.1  11
78.4  13

***

No. 5
# SrAsPd2Au2
Theoretical XRD peak list, a wavelength of 1.5418 Å. Input: DFT lattice parameters and positions (PBE).
Neutral-atom scattering factors, no anomalous dispersion.

```
data_SrAsPd2Au2
_chemical_formula_sum 'Sr1 As1 Pd2 Au2'
_cell_length_a 4.7564
_cell_length_b 4.7564
_cell_length_c 5.9944
_cell_angle_alpha 90.00
_cell_angle_beta 90.00
_cell_angle_gamma 90.00
_space_group_name_H-M_alt 'P 4/m m m'
_space_group_IT_number 123
_space_group_name_Hall '-P 4 2'
loop_
_atom_site_label
_atom_site_fract_x
_atom_site_fract_y
_atom_site_fract_z
Sr1 0.0000 0.0000 0.0000
As1 0.0000 0.0000 0.5000
Pd1 0.0000 0.5000 0.5000
Au1 0.5000 0.5000 0.2275
```

Most intense lines, 2θ from 10° to 80°, in order of rising 2θ:
Position (°2θ)  I_rel
14.8  17
18.7  40
26.5  41
30.5  40
35.4  100
37.8  85
40.3  44
52.8  64
54.6  29
70.0  17
74.9  19
79.4  20

***

No. 6
# Pm2As3Rh4Au
Theoretical XRD peak list, a wavelength of 1.5418 Å. Input: DFT lattice parameters and positions (PBE).
Neutral-atom scattering factors, no anomalous dispersion.

```
data_Pm2As3Rh4Au
_chemical_formula_sum 'Pm2 As3 Rh4 Au1'
_cell_length_a 4.1094
_cell_length_b 4.1094
_cell_length_c 11.0897
_cell_angle_alpha 90.00
_cell_angle_beta 90.00
_cell_angle_gamma 90.00
_space_group_name_H-M_alt 'P -4 m 2'
_space_group_IT_number 115
loop_
_space_group_symop_operation_xyz
'x,y,z'
'y,-x,-z'
'-x,-y,z'
'-y,x,-z'
'-x,y,z'
'-y,-x,-z'
'x,-y,z'
'y,x,-z'
loop_
_atom_site_label
_atom_site_fract_x
_atom_site_fract_y
_atom_site_fract_z
Pm1 0.0000 0.5000 0.2445
As1 0.0000 0.0000 0.0000
As2 0.0000 0.5000 0.6275
Rh1 0.0000 0.0000 0.5000
Rh2 0.0000 0.5000 0.8393
Rh3 0.5000 0.5000 0.5000
Au1 0.5000 0.5000 0.0000
```

Most intense lines, 2θ from 10° to 80°, in order of rising 2θ:
Position (°2θ)  I_rel
32.3  10
32.6  30
34.9  100
44.1  44
45.2  15
46.5  22
55.7  8
55.9  13
59.3  9
64.1  14
66.0  15
75.1  21

***

No. 7
# Sm2As3Pt4Au
Theoretical XRD peak list, a wavelength of 1.5418 Å. Input: DFT lattice parameters and positions (PBE).
Neutral-atom scattering factors, no anomalous dispersion.

```
data_Sm2As3Pt4Au
_chemical_formula_sum 'Sm2 As3 Pt4 Au1'
_cell_length_a 4.3014
_cell_length_b 4.3014
_cell_length_c 10.7220
_cell_angle_alpha 90.00
_cell_angle_beta 90.00
_cell_angle_gamma 90.00
_space_group_name_H-M_alt 'P -4 m 2'
_space_group_IT_number 115
loop_
_space_group_symop_operation_xyz
'x,y,z'
'y,-x,-z'
'-x,-y,z'
'-y,x,-z'
'-x,y,z'
'-y,-x,-z'
'x,-y,z'
'y,x,-z'
loop_
_atom_site_label
_atom_site_fract_x
_atom_site_fract_y
_atom_site_fract_z
Sm1 0.0000 0.5000 0.2448
As1 0.0000 0.5000 0.8722
As2 0.5000 0.5000 0.5000
Pt1 0.0000 0.0000 0.0000
Pt2 0.0000 0.5000 0.6507
Pt3 0.5000 0.5000 0.0000
Au1 0.0000 0.0000 0.5000
```

Most intense lines, 2θ from 10° to 80°, in order of rising 2θ:
Position (°2θ)  I_rel
22.3  7
26.6  10
32.6  26
33.9  100
42.0  53
45.1  26
47.4  22
54.1  13
60.9  18
65.1  17
71.6  23
78.9  10

***

No. 8
# PuAs2Au4
Theoretical XRD peak list, a wavelength of 1.5418 Å. Input: DFT lattice parameters and positions (PBE).
Neutral-atom scattering factors, no anomalous dispersion.

```
data_PuAs2Au4
_chemical_formula_sum 'Pu2 As4 Au8'
_cell_length_a 7.9946
_cell_length_b 7.9946
_cell_length_c 4.4678
_cell_angle_alpha 90.00
_cell_angle_beta 90.00
_cell_angle_gamma 90.00
_space_group_name_H-M_alt 'P 42/m n m'
_space_group_IT_number 136
_space_group_name_Hall '-P 4n 2n'
loop_
_atom_site_label
_atom_site_fract_x
_atom_site_fract_y
_atom_site_fract_z
Pu1 0.0000 0.0000 0.0000
As1 0.2242 0.2242 0.5000
Au1 0.0811 0.6660 0.5000
```

Most intense lines, 2θ from 10° to 80°, in order of rising 2θ:
Position (°2θ)  I_rel
25.4  10
32.1  100
35.5  42
37.7  42
40.4  33
41.0  42
46.9  20
54.8  25
61.6  25
63.5  16
68.2  12
73.9  10

***

No. 9
# Pu2As3Rh4Au
Theoretical XRD peak list, a wavelength of 1.5418 Å. Input: DFT lattice parameters and positions (PBE).
Neutral-atom scattering factors, no anomalous dispersion.

```
data_Pu2As3Rh4Au
_chemical_formula_sum 'Pu2 As3 Rh4 Au1'
_cell_length_a 4.0300
_cell_length_b 4.0300
_cell_length_c 11.3769
_cell_angle_alpha 90.00
_cell_angle_beta 90.00
_cell_angle_gamma 90.00
_space_group_name_H-M_alt 'P -4 m 2'
_space_group_IT_number 115
loop_
_space_group_symop_operation_xyz
'x,y,z'
'y,-x,-z'
'-x,-y,z'
'-y,x,-z'
'-x,y,z'
'-y,-x,-z'
'x,-y,z'
'y,x,-z'
loop_
_atom_site_label
_atom_site_fract_x
_atom_site_fract_y
_atom_site_fract_z
Pu1 0.0000 0.5000 0.2410
As1 0.0000 0.0000 0.0000
As2 0.0000 0.5000 0.6253
Rh1 0.0000 0.0000 0.5000
Rh2 0.0000 0.5000 0.8332
Rh3 0.5000 0.5000 0.5000
Au1 0.5000 0.5000 0.0000
```

Most intense lines, 2θ from 10° to 80°, in order of rising 2θ:
Position (°2θ)  I_rel
23.4  11
31.4  21
32.4  38
35.2  100
45.0  43
45.8  25
55.9  11
56.5  16
58.5  11
65.5  13
66.1  17
76.6  21

***

No. 10
# RbAsAu2Se4
Theoretical XRD peak list, a wavelength of 1.5418 Å. Input: DFT lattice parameters and positions (PBE).
Neutral-atom scattering factors, no anomalous dispersion.

```
data_RbAsAu2Se4
_chemical_formula_sum 'Rb2 As2 Au4 Se8'
_cell_length_a 6.6041
_cell_length_b 8.4418
_cell_length_c 9.1919
_cell_angle_alpha 90.00
_cell_angle_beta 90.00
_cell_angle_gamma 90.00
_space_group_name_H-M_alt 'I 2 2 2'
_space_group_IT_number 23
loop_
_space_group_symop_operation_xyz
'x,y,z'
'-x,-y,z'
'x,-y,-z'
'-x,y,-z'
'x+1/2,y+1/2,z+1/2'
'-x+1/2,-y+1/2,z+1/2'
'x+1/2,-y+1/2,-z+1/2'
'-x+1/2,y+1/2,-z+1/2'
loop_
_atom_site_label
_atom_site_fract_x
_atom_site_fract_y
_atom_site_fract_z
Rb1 0.0000 0.0000 0.0000
As1 0.0000 0.0000 0.5000
Au1 0.0000 0.5000 0.1664
Se1 0.1977 0.1684 0.3453
```

Most intense lines, 2θ from 10° to 80°, in order of rising 2θ:
Position (°2θ)  I_rel
14.2  86
17.0  22
21.0  35
25.9  100
26.9  52
31.1  55
34.5  64
38.8  38
40.0  28
43.0  20
47.0  21
52.1  35

***

No. 11
# Rb2Te4AsAu2
Theoretical XRD peak list, a wavelength of 1.5418 Å. Input: DFT lattice parameters and positions (PBE).
Neutral-atom scattering factors, no anomalous dispersion.

```
data_Rb2Te4AsAu2
_chemical_formula_sum 'Rb2 Te4 As1 Au2'
_cell_length_a 5.9328
_cell_length_b 6.5831
_cell_length_c 8.8044
_cell_angle_alpha 73.15
_cell_angle_beta 84.45
_cell_angle_gamma 82.28
_space_group_name_H-M_alt 'P -1'
_space_group_IT_number 2
loop_
_space_group_symop_operation_xyz
'x,y,z'
'-x,-y,-z'
loop_
_atom_site_label
_atom_site_fract_x
_atom_site_fract_y
_atom_site_fract_z
Rb1 0.2032 0.2024 0.0508
Te1 0.2508 0.0698 0.6290
Te2 0.2968 0.6159 0.2130
As1 0.0000 0.5000 0.5000
Au1 0.3031 0.8225 0.4332
```

Most intense lines, 2θ from 10° to 80°, in order of rising 2θ:
Position (°2θ)  I_rel
10.5  100
19.0  20
19.9  53
25.7  70
28.7  27
30.5  82
32.2  28
33.1  18
35.6  20
35.8  24
41.3  29
42.6  20

***

No. 12
# AsRhAu2
Theoretical XRD peak list, a wavelength of 1.5418 Å. Input: DFT lattice parameters and positions (PBE).
Neutral-atom scattering factors, no anomalous dispersion.

```
data_AsRhAu2
_chemical_formula_sum 'As1 Rh1 Au2'
_cell_length_a 3.0441
_cell_length_b 4.5445
_cell_length_c 4.9672
_cell_angle_alpha 90.00
_cell_angle_beta 90.00
_cell_angle_gamma 90.00
_space_group_name_H-M_alt 'P m m m'
_space_group_IT_number 47
loop_
_space_group_symop_operation_xyz
'x,y,z'
'-x,-y,-z'
'-x,-y,z'
'x,y,-z'
'x,-y,-z'
'-x,y,z'
'-x,y,-z'
'x,-y,z'
loop_
_atom_site_label
_atom_site_fract_x
_atom_site_fract_y
_atom_site_fract_z
As1 0.0000 0.0000 0.0000
Rh1 0.5000 0.5000 0.0000
Au1 0.0000 0.5000 0.5000
Au2 0.5000 0.0000 0.5000
```

Most intense lines, 2θ from 10° to 80°, in order of rising 2θ:
Position (°2θ)  I_rel
17.9  23
35.5  9
36.2  33
39.7  26
40.0  100
51.6  7
54.8  20
60.9  7
67.6  21
72.2  18
72.9  9
75.1  8